# 1
PaAgTe3: simulated powder XRD pattern (a wavelength of 1.5418 Å), based on a structure optimized by DFT (PBE).
Neutral-atom scattering factors, no anomalous dispersion.

Cell and atoms:
```
data_PaAgTe3
_symmetry_space_group_name_H-M 'P 1 21/c 1'
_symmetry_Int_Tables_number 14
_cell_length_a 7.4168
_cell_length_b 7.6691
_cell_length_c 11.9491
_cell_angle_alpha 90.00
_cell_angle_beta 116.24
_cell_angle_gamma 90.00
loop_
_symmetry_equiv_pos_as_xyz
'x,y,z'
'-x,-y,-z'
'-x,y+1/2,-z+1/2'
'x,-y+1/2,z+1/2'
loop_
_atom_site_label
_atom_site_type_symbol
_atom_site_fract_x
_atom_site_fract_y
_atom_site_fract_z
_atom_site_occupancy
Pa1 Pa 0.1605 0.1453 0.2127 1
Ag1 Ag 0.1238 0.5914 0.1201 1
Te1 Te 0.1538 0.1384 0.9403 1
Te2 Te 0.2187 0.6392 0.9087 1
Te3 Te 0.4759 0.0888 0.7624 1
```

Principal peaks in the range 2θ = 15–90°, by angle:
(hkl), Position (°2θ), Rel. int.
0 0 2, 16.54, 18.2
1 1 0, 17.65, 10.7
1 1 -2, 19.78, 10.9
1 2 1, 29.85, 100.0
1 0 -4, 29.94, 32.4
1 1 -4, 32.18, 30.0
2 2 -1, 33.81, 31.5
2 2 -3, 36.19, 39.9
3 0 0, 40.69, 23.4
1 2 3, 40.98, 17.4
0 1 5, 43.86, 10.9
0 4 0, 47.42, 14.1

***

# 2
TmPaAg: simulated powder XRD pattern (a wavelength of 1.5418 Å), based on a structure optimized by DFT (PBE).
Neutral-atom scattering factors, no anomalous dispersion.

Cell and atoms:
```
data_TmPaAg
_symmetry_space_group_name_H-M 'C m c m'
_symmetry_Int_Tables_number 63
_symmetry_space_group_name_Hall '-C 2c 2'
_cell_length_a 3.2617
_cell_length_b 17.1566
_cell_length_c 5.1795
_cell_angle_alpha 90.00
_cell_angle_beta 90.00
_cell_angle_gamma 90.00
loop_
_atom_site_label
_atom_site_type_symbol
_atom_site_fract_x
_atom_site_fract_y
_atom_site_fract_z
_atom_site_occupancy
Tm1 Tm 0.0000 0.0876 0.2500 1
Pa1 Pa 0.0000 0.2311 0.7500 1
Ag1 Ag 0.0000 0.4361 0.2500 1
```

Principal peaks in the range 2θ = 15–90°, by angle:
(hkl), Position (°2θ), Rel. int.
0 4 1, 26.99, 7.0
0 6 0, 31.28, 27.4
0 0 2, 34.64, 30.4
0 6 1, 35.87, 13.5
1 3 1, 36.14, 100.0
0 6 2, 47.36, 17.5
2 0 0, 56.45, 11.1
1 9 1, 58.88, 10.8
1 3 3, 63.05, 19.7
1 9 2, 67.42, 7.9
2 0 2, 67.92, 8.6
2 6 2, 76.67, 8.5

***

# 3
Ag5Pb: simulated powder XRD pattern (a wavelength of 1.5418 Å), based on a structure optimized by DFT (PBE).
Neutral-atom scattering factors, no anomalous dispersion.

Cell and atoms:
```
data_Ag5Pb
_symmetry_space_group_name_H-M 'C 1 2/m 1'
_symmetry_Int_Tables_number 12
_cell_length_a 9.8534
_cell_length_b 3.8279
_cell_length_c 6.7140
_cell_angle_alpha 90.00
_cell_angle_beta 109.76
_cell_angle_gamma 90.00
loop_
_symmetry_equiv_pos_as_xyz
'x,y,z'
'-x,-y,-z'
'-x,y,-z'
'x,-y,z'
'x+1/2,y+1/2,z'
'-x+1/2,-y+1/2,-z'
'-x+1/2,y+1/2,-z'
'x+1/2,-y+1/2,z'
loop_
_atom_site_label
_atom_site_type_symbol
_atom_site_fract_x
_atom_site_fract_y
_atom_site_fract_z
_atom_site_occupancy
Ag1 Ag 0.0000 0.0000 0.0000 1
Ag2 Ag 0.1668 0.5000 0.8529 1
Ag3 Ag 0.1714 0.5000 0.3137 1
Pb1 Pb 0.0000 0.0000 0.5000 1
```

Principal peaks in the range 2θ = 15–90°, by angle:
(hkl), Position (°2θ), Rel. int.
1 1 -2, 35.57, 100.0
3 1 0, 37.39, 90.4
2 0 2, 39.58, 37.5
4 0 -2, 39.69, 36.2
0 2 0, 47.50, 22.7
2 0 -4, 54.68, 12.4
6 0 0, 59.84, 10.9
2 2 2, 63.53, 35.1
1 1 4, 68.05, 13.0
5 1 -4, 68.20, 12.5
5 1 2, 71.52, 12.6
7 1 -2, 71.67, 11.8

***

# 4
AgPb5: simulated powder XRD pattern (a wavelength of 1.5418 Å), based on a structure optimized by DFT (PBE).
Neutral-atom scattering factors, no anomalous dispersion.

Cell and atoms:
```
data_AgPb5
_symmetry_space_group_name_H-M 'C 1 m 1'
_symmetry_Int_Tables_number 8
_cell_length_a 13.3415
_cell_length_b 3.4789
_cell_length_c 7.8770
_cell_angle_alpha 90.00
_cell_angle_beta 106.01
_cell_angle_gamma 90.00
loop_
_symmetry_equiv_pos_as_xyz
'x,y,z'
'x,-y,z'
'x+1/2,y+1/2,z'
'x+1/2,-y+1/2,z'
loop_
_atom_site_label
_atom_site_type_symbol
_atom_site_fract_x
_atom_site_fract_y
_atom_site_fract_z
_atom_site_occupancy
Ag1 Ag 0.0000 0.0000 0.0000 1
Pb1 Pb 0.1476 0.5000 0.8500 1
Pb2 Pb 0.1618 0.5000 0.3026 1
Pb3 Pb 0.3384 0.0000 0.6955 1
Pb4 Pb 0.3499 0.0000 0.1443 1
Pb5 Pb 0.4991 0.5000 0.4965 1
```

Principal peaks in the range 2θ = 15–90°, by angle:
(hkl), Position (°2θ), Rel. int.
2 0 2, 30.56, 59.8
4 0 -2, 31.19, 49.9
3 1 0, 33.20, 100.0
1 1 -2, 34.40, 94.4
6 0 0, 42.29, 22.6
2 0 -4, 46.10, 14.5
0 2 0, 52.62, 14.4
5 1 2, 55.21, 21.9
7 1 -2, 56.00, 16.1
1 1 4, 57.60, 16.6
2 2 2, 62.08, 16.4
6 2 0, 69.71, 15.2

***

# 5
Ag4Pb: simulated powder XRD pattern (a wavelength of 1.5418 Å), based on a structure optimized by DFT (PBE).
Neutral-atom scattering factors, no anomalous dispersion.

Cell and atoms:
```
data_Ag4Pb
_symmetry_space_group_name_H-M 'I -4 3 m'
_symmetry_Int_Tables_number 217
_symmetry_space_group_name_Hall 'I -4 2 3'
_cell_length_a 9.6126
_cell_length_b 9.6126
_cell_length_c 9.6126
_cell_angle_alpha 90.00
_cell_angle_beta 90.00
_cell_angle_gamma 90.00
loop_
_atom_site_label
_atom_site_type_symbol
_atom_site_fract_x
_atom_site_fract_y
_atom_site_fract_z
_atom_site_occupancy
Ag1 Ag 0.0000 0.0000 0.3513 1
Ag2 Ag 0.0000 0.2500 0.5000 1
Ag3 Ag 0.1075 0.1075 0.1075 1
Pb1 Pb 0.2117 0.2117 0.7883 1
```

Principal peaks in the range 2θ = 15–90°, by angle:
(hkl), Position (°2θ), Rel. int.
2 2 0, 26.22, 24.7
2 2 2, 32.26, 76.6
3 2 1, 34.92, 63.7
4 0 0, 37.42, 17.6
4 1 1, 39.78, 100.0
4 3 1, 48.28, 17.6
4 4 0, 53.96, 16.0
6 1 1, 59.26, 42.9
5 5 0, 69.10, 21.9
6 3 3, 72.22, 14.0
7 4 1, 81.32, 14.9
7 5 0, 87.24, 14.9

***

# 6
AgPb5: simulated powder XRD pattern (a wavelength of 1.5418 Å), based on a structure optimized by DFT (PBE).
Neutral-atom scattering factors, no anomalous dispersion.

Cell and atoms:
```
data_AgPb5
_symmetry_space_group_name_H-M 'P 4/m m m'
_symmetry_Int_Tables_number 123
_symmetry_space_group_name_Hall '-P 4 2'
_cell_length_a 3.5261
_cell_length_b 3.5261
_cell_length_c 13.9665
_cell_angle_alpha 90.00
_cell_angle_beta 90.00
_cell_angle_gamma 90.00
loop_
_atom_site_label
_atom_site_type_symbol
_atom_site_fract_x
_atom_site_fract_y
_atom_site_fract_z
_atom_site_occupancy
Ag1 Ag 0.0000 0.0000 0.0000 1
Pb1 Pb 0.0000 0.0000 0.3199 1
Pb2 Pb 0.5000 0.5000 0.1397 1
Pb3 Pb 0.5000 0.5000 0.5000 1
```

Principal peaks in the range 2θ = 15–90°, by angle:
(hkl), Position (°2θ), Rel. int.
1 0 2, 28.35, 8.9
1 0 3, 31.84, 100.0
1 1 0, 36.02, 40.7
0 0 6, 38.68, 10.3
1 1 5, 48.97, 8.4
2 0 0, 51.86, 14.6
1 1 6, 53.88, 16.0
1 0 8, 59.04, 10.0
2 1 3, 62.15, 30.4
2 0 6, 66.53, 8.6
2 1 8, 82.41, 7.9
3 1 0, 87.48, 7.1

***

# 7
AgPb6: simulated powder XRD pattern (a wavelength of 1.5418 Å), based on a structure optimized by DFT (PBE).
Neutral-atom scattering factors, no anomalous dispersion.

Cell and atoms:
```
data_AgPb6
_symmetry_space_group_name_H-M 'I m -3 m'
_symmetry_Int_Tables_number 229
_symmetry_space_group_name_Hall '-I 4 2 3'
_cell_length_a 8.5577
_cell_length_b 8.5577
_cell_length_c 8.5577
_cell_angle_alpha 90.00
_cell_angle_beta 90.00
_cell_angle_gamma 90.00
loop_
_atom_site_label
_atom_site_type_symbol
_atom_site_fract_x
_atom_site_fract_y
_atom_site_fract_z
_atom_site_occupancy
Ag1 Ag 0.0000 0.0000 0.0000 1
Pb1 Pb 0.0000 0.2500 0.5000 1
```

Principal peaks in the range 2θ = 15–90°, by angle:
(hkl), Position (°2θ), Rel. int.
2 0 0, 20.76, 40.7
2 1 1, 25.50, 100.0
3 1 0, 33.10, 16.7
2 2 2, 36.37, 61.6
3 2 1, 39.40, 64.9
4 0 0, 42.24, 44.3
4 2 0, 47.52, 19.1
3 3 2, 49.99, 16.4
5 2 1, 59.13, 19.9
4 4 0, 61.27, 30.0
6 1 1, 67.47, 20.2
6 2 2, 73.39, 25.6

***

# 8
Ag3Pd4Pb: simulated powder XRD pattern (a wavelength of 1.5418 Å), based on a structure optimized by DFT (PBE).
Neutral-atom scattering factors, no anomalous dispersion.

Cell and atoms:
```
data_Ag3Pd4Pb
_symmetry_space_group_name_H-M 'P m m a'
_symmetry_Int_Tables_number 51
_cell_length_a 9.4840
_cell_length_b 6.0388
_cell_length_c 4.8336
_cell_angle_alpha 90.00
_cell_angle_beta 90.00
_cell_angle_gamma 90.00
loop_
_symmetry_equiv_pos_as_xyz
'x,y,z'
'-x,-y,-z'
'-x+1/2,-y,z'
'x+1/2,y,-z'
'x+1/2,-y,-z'
'-x+1/2,y,z'
'-x,y,-z'
'x,-y,z'
loop_
_atom_site_label
_atom_site_type_symbol
_atom_site_fract_x
_atom_site_fract_y
_atom_site_fract_z
_atom_site_occupancy
Ag1 Ag 0.0000 0.0000 0.0000 1
Ag2 Ag 0.2500 0.0000 0.3967 1
Ag3 Ag 0.2500 0.5000 0.4114 1
Pd1 Pd 0.0000 0.2473 0.5000 1
Pd2 Pd 0.2500 0.2480 0.8962 1
Pb1 Pb 0.0000 0.5000 0.0000 1
```

Principal peaks in the range 2θ = 15–90°, by angle:
(hkl), Position (°2θ), Rel. int.
1 2 1, 36.34, 11.1
0 0 2, 37.20, 17.4
4 0 0, 37.95, 34.8
1 0 2, 38.44, 12.3
2 2 1, 40.01, 100.0
2 0 2, 41.96, 8.7
3 0 2, 47.35, 6.7
4 0 2, 54.19, 11.6
0 4 0, 61.41, 8.2
6 2 1, 69.94, 18.6
4 4 0, 74.51, 9.3
4 2 3, 78.44, 7.7